1.
# Sr4SbPH
Theoretical PXRD pattern, Cu Kα, 1.54184 Å. Input: the GGA-PBE geometry in Alexandria.
Kinematic intensities with the Lorentz-polarization factor, no thermal factor.

Top 6 peaks for 5° ≤ 2θ ≤ 70°, in order of falling intensity:
two_theta  intensity
27.92  100
33.28  72
36.98  59
31.71  43
48.99  28
30.97  26

```
data_Sr4SbPH
_chemical_formula_sum 'Sr8 Sb2 P2 H2'
_symmetry_space_group_name_H-M 'I 4 m m'
_symmetry_Int_Tables_number 107
_symmetry_space_group_name_Hall 'I 4 -2'
_cell_length_a 4.862
_cell_length_b 4.862
_cell_length_c 17.322
_cell_angle_alpha 90.00
_cell_angle_beta 90.00
_cell_angle_gamma 90.00
loop_
_atom_site_label
_atom_site_fract_x
_atom_site_fract_y
_atom_site_fract_z
_atom_site_occupancy
Sr1 0.000 0.000 0.000 1
Sr2 0.000 0.000 0.365 1
Sr3 0.000 0.500 0.169 1
Sb1 0.000 0.000 0.811 1
P1 0.000 0.000 0.548 1
H1 0.000 0.000 0.145 1
```

---

2.
# Ba3Li4Pd2
Theoretical PXRD pattern, Cu Kα, 1.54184 Å. Input: the GGA-PBE geometry in Alexandria.
Kinematic intensities with the Lorentz-polarization factor, no thermal factor.

Top 6 peaks for 5° ≤ 2θ ≤ 70°, in order of falling intensity:
two_theta  intensity
20.20  100
30.33  63
28.58  57
25.81  55
30.62  37
35.32  37

```
data_Ba3Li4Pd2
_chemical_formula_sum 'Ba3 Li4 Pd2'
_symmetry_space_group_name_H-M 'P -1'
_symmetry_Int_Tables_number 2
_cell_length_a 5.082
_cell_length_b 6.465
_cell_length_c 9.029
_cell_angle_alpha 72.73
_cell_angle_beta 73.77
_cell_angle_gamma 66.91
loop_
_symmetry_equiv_pos_as_xyz
'x,y,z'
'-x,-y,-z'
loop_
_atom_site_label
_atom_site_fract_x
_atom_site_fract_y
_atom_site_fract_z
_atom_site_occupancy
Ba1 0.000 0.000 0.000 1
Ba2 0.398 0.832 0.371 1
Li1 0.122 0.424 0.332 1
Li2 0.289 0.389 0.032 1
Pd1 0.292 0.665 0.754 1
```

---

3.
# HoPuIn
Theoretical PXRD pattern, Cu Kα, 1.54184 Å. Input: the GGA-PBE geometry in Alexandria.
Kinematic intensities with the Lorentz-polarization factor, no thermal factor.

Top 6 peaks for 5° ≤ 2θ ≤ 70°, in order of falling intensity:
two_theta  intensity
33.13  100
33.87  100
59.66  40
48.11  38
67.96  25
59.18  19

```
data_HoPuIn
_chemical_formula_sum 'Ho2 Pu2 In2'
_symmetry_space_group_name_H-M 'P 63/m m c'
_symmetry_Int_Tables_number 194
_symmetry_space_group_name_Hall '-P 6c 2c'
_cell_length_a 5.4084
_cell_length_b 5.4084
_cell_length_c 6.4145
_cell_angle_alpha 90.00
_cell_angle_beta 90.00
_cell_angle_gamma 120.00
loop_
_atom_site_label
_atom_site_fract_x
_atom_site_fract_y
_atom_site_fract_z
_atom_site_occupancy
Ho1 0.3333 0.6667 0.2500 1
Pu1 0.0000 0.0000 0.0000 1
In1 0.3333 0.6667 0.7500 1
```

---

4.
# Sc6Tl5Ag
Theoretical PXRD pattern, Cu Kα, 1.54184 Å. Input: the GGA-PBE geometry in Alexandria.
Kinematic intensities with the Lorentz-polarization factor, no thermal factor.

Top 6 peaks for 5° ≤ 2θ ≤ 70°, in order of falling intensity:
two_theta  intensity
35.61  100
24.79  46
35.39  26
35.29  25
25.16  22
43.87  21

```
data_Sc6Tl5Ag
_chemical_formula_sum 'Sc12 Tl10 Ag2'
_symmetry_space_group_name_H-M 'C m m m'
_symmetry_Int_Tables_number 65
_symmetry_space_group_name_Hall '-C 2 2'
_cell_length_a 5.073
_cell_length_b 15.262
_cell_length_c 7.078
_cell_angle_alpha 90.00
_cell_angle_beta 90.00
_cell_angle_gamma 90.00
loop_
_atom_site_label
_atom_site_fract_x
_atom_site_fract_y
_atom_site_fract_z
_atom_site_occupancy
Sc1 0.000 0.000 0.246 1
Sc2 0.000 0.335 0.245 1
Tl1 0.000 0.161 0.000 1
Tl2 0.000 0.167 0.500 1
Tl3 0.000 0.500 0.500 1
Ag1 0.000 0.500 0.000 1
```

---

Repeat the fourth record exactly.
# Sc6Tl5Ag
Theoretical PXRD pattern, Cu Kα, 1.54184 Å. Input: the GGA-PBE geometry in Alexandria.
Kinematic intensities with the Lorentz-polarization factor, no thermal factor.

Top 6 peaks for 5° ≤ 2θ ≤ 70°, in order of falling intensity:
two_theta  intensity
35.61  100
24.79  46
35.39  26
35.29  25
25.16  22
43.87  21

```
data_Sc6Tl5Ag
_chemical_formula_sum 'Sc12 Tl10 Ag2'
_symmetry_space_group_name_H-M 'C m m m'
_symmetry_Int_Tables_number 65
_symmetry_space_group_name_Hall '-C 2 2'
_cell_length_a 5.073
_cell_length_b 15.262
_cell_length_c 7.078
_cell_angle_alpha 90.00
_cell_angle_beta 90.00
_cell_angle_gamma 90.00
loop_
_atom_site_label
_atom_site_fract_x
_atom_site_fract_y
_atom_site_fract_z
_atom_site_occupancy
Sc1 0.000 0.000 0.246 1
Sc2 0.000 0.335 0.245 1
Tl1 0.000 0.161 0.000 1
Tl2 0.000 0.167 0.500 1
Tl3 0.000 0.500 0.500 1
Ag1 0.000 0.500 0.000 1
```

---

Number 3 is which compound?
HoPuIn